[1]
Theoretical powder diffractogram
Compound: Ba6Na2Nb2V2O17
Radiation: Cu Ka
Structure: a structure optimized by DFT (PBE+U)
Lines closer than 0.1° are merged.

Atomic structure:
```
Ba6Na2Nb2V2O17
1.0
5.1981 -2.9805 0.0000
5.1981 2.9805 0.0000
-0.0449 0.0000 14.9959
Ba Na Nb V O
6 2 2 2 17
Direct
0.0000 0.0000 0.0000 Ba
0.3237 0.3377 0.6852 Ba
0.3359 0.3337 0.1506 Ba
0.6623 0.6763 0.3148 Ba
0.6663 0.6641 0.8494 Ba
0.9442 0.0558 0.5000 Ba
0.9945 0.0030 0.7518 Na
0.9970 0.0055 0.2482 Na
0.3333 0.3325 0.9131 Nb
0.6675 0.6667 0.0869 Nb
0.3189 0.3515 0.3955 V
0.6485 0.6811 0.6045 V
0.1315 0.6778 0.3665 O
0.1520 0.2042 0.8421 O
0.1652 0.1895 0.3549 O
0.2149 0.6369 0.8392 O
0.3222 0.8685 0.6335 O
0.3631 0.7851 0.1608 O
0.3822 0.2989 0.5084 O
0.4740 0.0036 0.0024 O
0.5164 0.4836 0.0000 O
0.6159 0.2231 0.3405 O
0.6483 0.1385 0.8460 O
0.7011 0.6178 0.4916 O
0.7769 0.3841 0.6595 O
0.7958 0.8480 0.1579 O
0.8105 0.8348 0.6451 O
0.8615 0.3517 0.1540 O
0.9964 0.5260 0.9976 O
```

Top 10 peaks for 15° ≤ 2θ ≤ 90°, most intense first:
- 2θ 29.82, d = 2.996 Å, intensity 100.0
- 2θ 29.45, d = 3.033 Å, intensity 82.0
- 2θ 42.42, d = 2.131 Å, intensity 73.4
- 2θ 29.98, d = 2.981 Å, intensity 47.1
- 2θ 29.33, d = 3.045 Å, intensity 42.4
- 2θ 20.84, d = 4.263 Å, intensity 35.6
- 2θ 52.80, d = 1.734 Å, intensity 26.1
- 2θ 36.79, d = 2.443 Å, intensity 20.2
- 2θ 61.95, d = 1.498 Å, intensity 17.9
- 2θ 53.13, d = 1.724 Å, intensity 17.5


[2]
Theoretical powder diffractogram
Compound: V3As2O9
Radiation: Cu Ka
Structure: a structure optimized by DFT (PBE+U)
Lines closer than 0.1° are merged.

Atomic structure:
```
V3As2O9
1.0
4.4330 -3.2386 0.0000
4.4330 3.2386 0.0000
-1.7084 0.0000 6.3017
V As O
3 2 9
Direct
0.0000 0.0000 0.0000 V
0.4033 0.4033 0.1711 V
0.5747 0.5747 0.7615 V
0.1625 0.1625 0.6608 As
0.7982 0.7982 0.2907 As
0.0904 0.7082 0.1654 O
0.1819 0.1819 0.1762 O
0.2543 0.8692 0.7904 O
0.3516 0.3516 0.8420 O
0.4910 0.4910 0.4922 O
0.6133 0.6133 0.0975 O
0.7082 0.0904 0.1654 O
0.7694 0.7694 0.7818 O
0.8692 0.2543 0.7904 O
```

Top 10 peaks for 15° ≤ 2θ ≤ 90°, most intense first:
- 2θ 27.54, d = 3.239 Å, intensity 100.0
- 2θ 28.11, d = 3.175 Å, intensity 69.1
- 2θ 33.88, d = 2.646 Å, intensity 45.8
- 2θ 28.32, d = 3.151 Å, intensity 33.4
- 2θ 41.57, d = 2.172 Å, intensity 33.2
- 2θ 30.82, d = 2.901 Å, intensity 31.0
- 2θ 39.76, d = 2.267 Å, intensity 21.1
- 2θ 52.87, d = 1.732 Å, intensity 20.8
- 2θ 21.84, d = 4.069 Å, intensity 20.7
- 2θ 23.94, d = 3.717 Å, intensity 19.7